[1]
The following is a calculated X-ray diffraction stick pattern of Cr4OF11. It was derived from DFT lattice parameters and positions (PBE+U), using Cu Kα X-rays.
Intensities are scaled so that the largest is 100.

Structural model:
a b c (Å): 9.357 5.099 8.744
angles (deg): 90.00 107.44 90.00
Space group C2 (No. 5)
Symmetry-distinct sites (fractional):
Cr  0.118  0.000  0.382 [4 per cell]
Cr  0.126  0.497  0.874 [4 per cell]
O  0.000  0.122  0.500 [2 per cell]
F  0.000  0.187  0.191 [4 per cell]
F  0.000  0.620  0.000 [2 per cell]
F  0.000  0.686  0.312 [4 per cell]
F  0.248  0.881  0.253 [4 per cell]
F  0.250  0.306  0.440 [4 per cell]
F  0.250  0.308  0.061 [4 per cell]

Most intense lines, 15 to 90 degrees two-theta, sorted by position:
2θ (°)  intensity
24.1  100
24.5  49
33.7  21
40.8  24
41.2  12
49.4  18
54.5  14
54.7  14
55.2  13
63.3  12

***

[2]
The following is a calculated X-ray diffraction stick pattern of Cr4OF11. It was derived from DFT lattice parameters and positions (PBE+U), using Cu Kα X-rays.
Intensities are scaled so that the largest is 100.

Structural model:
a b c (Å): 5.100 5.327 16.890
angles (deg): 84.15 81.33 61.43
Space group P-1 (No. 2)
Symmetry-distinct sites (fractional):
Cr  0.000  0.000  0.000 [1 per cell]
Cr  0.113  0.141  0.628 [2 per cell]
Cr  0.241  0.268  0.254 [2 per cell]
Cr  0.379  0.370  0.874 [2 per cell]
Cr  0.500  0.500  0.500 [1 per cell]
O  0.185  0.563  0.313 [2 per cell]
F  0.066  0.685  0.937 [2 per cell]
F  0.090  0.093  0.342 [2 per cell]
F  0.097  0.717  0.467 [2 per cell]
F  0.155  0.531  0.782 [2 per cell]
F  0.158  0.156  0.907 [2 per cell]
F  0.316  0.945  0.189 [2 per cell]
F  0.344  0.343  0.593 [2 per cell]
F  0.350  0.968  0.717 [2 per cell]
F  0.403  0.782  0.032 [2 per cell]
F  0.406  0.408  0.158 [2 per cell]
F  0.424  0.817  0.564 [2 per cell]

Most intense lines, 15 to 90 degrees two-theta, sorted by position:
2θ (°)  intensity
24.1  100
24.4  49
33.7  21
40.8  24
41.2  12
49.4  18
54.5  14
54.7  14
55.2  13
63.3  12

***

[3]
The following is a calculated X-ray diffraction stick pattern of Cr4OF11. It was derived from DFT lattice parameters and positions (PBE+U), using Cu Kα X-rays.
Intensities are scaled so that the largest is 100.

Structural model:
a b c (Å): 9.426 5.054 17.140
angles (deg): 90.00 102.95 90.00
Space group C2 (No. 5)
Symmetry-distinct sites (fractional):
Cr  0.056  0.000  0.190 [4 per cell]
Cr  0.058  0.470  0.692 [4 per cell]
Cr  0.189  0.489  0.063 [4 per cell]
Cr  0.189  0.979  0.563 [4 per cell]
O  0.028  0.296  0.781 [4 per cell]
F  0.000  0.102  0.500 [2 per cell]
F  0.000  0.606  0.000 [2 per cell]
F  0.030  0.796  0.282 [4 per cell]
F  0.096  0.666  0.598 [4 per cell]
F  0.097  0.175  0.095 [4 per cell]
F  0.125  0.359  0.376 [4 per cell]
F  0.127  0.864  0.873 [4 per cell]
F  0.152  0.683  0.156 [4 per cell]
F  0.156  0.171  0.657 [4 per cell]
F  0.216  0.791  0.469 [4 per cell]
F  0.219  0.301  0.970 [4 per cell]
F  0.247  0.605  0.751 [4 per cell]

Most intense lines, 15 to 90 degrees two-theta, sorted by position:
2θ (°)  intensity
24.1  51
24.3  100
33.6  32
40.8  12
41.0  24
49.4  9
49.8  16
54.6  14
54.9  27
63.7  12